(1)
Theoretical PXRD pattern
Compound: Na2YUO6
Radiation: CuKα
Structure: the GGA-PBE geometry in Alexandria

Largest 10 diffraction maxima, sorted by position, 2θ = 15–90°:
2theta  Rel. int.
18.3  21.8
18.6  20.8
21.4  100.0
30.0  19.4
30.4  74.0
30.8  16.9
43.5  31.4
49.0  31.0
53.5  16.7
54.5  19.0

Cell and atoms:
abc: 5.810 5.954 10.142
angles: 90.00 124.88 90.00
Fractional positions:
Na (0.242, 0.037, 0.249)
Na (0.242, 0.463, 0.749)
Na (0.758, 0.537, 0.251)
Na (0.758, 0.963, 0.751)
Y (0.000, 0.000, 0.500)
Y (0.000, 0.500, 0.000)
U (0.500, 0.000, 0.000)
U (0.500, 0.500, 0.500)
O (0.161, 0.189, 0.951)
O (0.161, 0.311, 0.451)
O (0.262, 0.712, 0.945)
O (0.262, 0.788, 0.445)
O (0.362, 0.040, 0.762)
O (0.362, 0.460, 0.262)
O (0.638, 0.540, 0.738)
O (0.638, 0.960, 0.238)
O (0.738, 0.212, 0.555)
O (0.738, 0.288, 0.055)
O (0.839, 0.689, 0.549)
O (0.839, 0.811, 0.049)

---

(2)
Theoretical PXRD pattern
Compound: NaUZnO4
Radiation: CuKα
Structure: the GGA-PBE geometry in Alexandria

Largest 10 diffraction maxima, sorted by position, 2θ = 15–90°:
2theta  Rel. int.
17.0  100.0
19.2  15.7
30.8  53.5
32.1  25.9
32.4  25.0
34.4  18.7
38.4  28.8
41.6  14.7
51.6  23.4
55.9  23.2

Cell and atoms:
abc: 6.595 6.595 6.595
angles: 122.85 115.91 91.18
Fractional positions:
Na (0.402, 0.152, 0.250)
Na (0.598, 0.848, 0.750)
U (0.000, 0.500, 0.500)
U (0.500, 0.500, 0.000)
Zn (0.000, 0.000, 0.500)
Zn (0.000, 0.500, 0.000)
O (0.179, 0.727, 0.452)
O (0.225, 0.273, 0.952)
O (0.259, 0.298, 0.540)
O (0.259, 0.719, 0.960)
O (0.741, 0.281, 0.040)
O (0.741, 0.702, 0.460)
O (0.775, 0.727, 0.048)
O (0.821, 0.273, 0.548)

---

(3)
Theoretical PXRD pattern
Compound: NaZrUO6
Radiation: CuKα
Structure: the GGA-PBE geometry in Alexandria

Largest 10 diffraction maxima, sorted by position, 2θ = 15–90°:
2theta  Rel. int.
17.7  30.7
19.5  91.7
24.6  100.0
30.4  28.0
32.0  79.9
35.0  22.5
40.4  26.8
48.1  68.9
50.4  18.1
60.9  20.9

Cell and atoms:
abc: 5.123 5.123 10.032
angles: 90.00 90.00 90.00
Fractional positions:
Na (0.000, 0.000, 0.000)
Na (0.500, 0.500, 0.500)
Zr (0.000, 0.000, 0.669)
Zr (0.500, 0.500, 0.169)
U (0.000, 0.000, 0.335)
U (0.500, 0.500, 0.835)
O (0.176, 0.176, 0.498)
O (0.209, 0.209, 0.194)
O (0.212, 0.212, 0.815)
O (0.288, 0.712, 0.315)
O (0.291, 0.709, 0.694)
O (0.324, 0.676, 0.998)
O (0.676, 0.324, 0.998)
O (0.709, 0.291, 0.694)
O (0.712, 0.288, 0.315)
O (0.788, 0.788, 0.815)
O (0.791, 0.791, 0.194)
O (0.824, 0.824, 0.498)